Entry 1:
Calculated powder diffraction line list of Mg7Cu2Se3 for Cu Kα, 1.54184 Å, from the GGA-PBE geometry in Alexandria.
Lines closer than 0.1° are merged.

Atomic structure:
a = 5.5468 Å, b = 5.5468 Å, c = 29.1302 Å
α = 90.00°, β = 90.00°, γ = 120.00°
Space group R-3m (No. 166, hexagonal axes)
Symmetry-distinct sites (fractional):
Mg (0.0000, 0.0000, 0.0000) (multiplicity 3)
Mg (0.0006, 0.5003, 0.5742) (multiplicity 18)
Cu (0.0000, 0.0000, 0.1673) (multiplicity 6)
Se (0.0000, 0.0000, 0.3786) (multiplicity 6)
Se (0.0000, 0.0000, 0.5000) (multiplicity 3)

Main lines, most intense first (2θ = 10–90°):
d/Å  2θ (°)  I_rel
2.773  32.28  1000
2.106  42.95  888
2.408  37.34  793
2.902  30.81  491
2.394  37.57  300
1.387  67.55  278
2.221  40.63  262
3.237  27.56  253
1.435  64.98  247
4.010  22.17  235

***

Entry 2:
Calculated powder diffraction line list of MgCu9Se2 for Cu Kα, 1.54184 Å, from the GGA-PBE geometry in Alexandria.
Lines closer than 0.1° are merged.

Atomic structure:
a = 8.524 Å, b = 4.914 Å, c = 8.828 Å
α = 90.00°, β = 108.56°, γ = 90.00°
Space group C2/m (No. 12)
Symmetry-distinct sites (fractional):
Mg (0.000, 0.000, 0.000) (multiplicity 2)
Cu (0.000, 0.500, 0.500) (multiplicity 2)
Cu (0.082, 0.500, 0.247) (multiplicity 4)
Cu (0.168, 0.250, 0.752) (multiplicity 8)
Cu (0.168, 0.500, 0.003) (multiplicity 4)
Se (0.124, 0.000, 0.372) (multiplicity 4)

Main lines, most intense first (2θ = 10–90°):
d/Å  2θ (°)  I_rel
1.960  46.31  1000
2.123  42.59  827
2.118  42.69  664
4.192  21.19  606
2.459  36.54  376
1.229  77.66  371
2.015  44.99  359
2.092  43.25  285
2.524  35.57  272
2.010  45.11  243

***

Entry 3:
Calculated powder diffraction line list of Mg3Cu2Se4 for Cu Kα, 1.54184 Å, from the GGA-PBE geometry in Alexandria.
Lines closer than 0.1° are merged.

Atomic structure:
a = 14.330 Å, b = 3.788 Å, c = 7.562 Å
α = 90.00°, β = 117.66°, γ = 90.00°
Space group C2/m (No. 12)
Symmetry-distinct sites (fractional):
Mg (0.000, 0.000, 0.000) (multiplicity 2)
Mg (0.141, 0.000, 0.756) (multiplicity 4)
Cu (0.183, 0.500, 0.417) (multiplicity 4)
Se (0.008, 0.500, 0.748) (multiplicity 4)
Se (0.220, 0.000, 0.215) (multiplicity 4)

Main lines, most intense first (2θ = 10–90°):
d/Å  2θ (°)  I_rel
1.888  48.20  1000
2.279  39.55  826
2.642  33.93  666
2.589  34.65  641
3.349  26.62  582
2.948  30.32  578
1.796  50.83  521
6.290  14.08  477
1.894  48.04  472
3.173  28.12  420

***

Entry 4:
Calculated powder diffraction line list of MgCu2Se4 for Cu Kα, 1.54184 Å, from the GGA-PBE geometry in Alexandria.
Lines closer than 0.1° are merged.

Atomic structure:
a = 7.059 Å, b = 7.059 Å, c = 11.379 Å
α = 90.00°, β = 90.00°, γ = 90.00°
Space group I4/mcm (No. 140)
Symmetry-distinct sites (fractional):
Mg (0.000, 0.000, 0.250) (multiplicity 4)
Cu (0.124, 0.376, 0.000) (multiplicity 8)
Se (0.187, 0.313, 0.368) (multiplicity 16)

Main lines, most intense first (2θ = 10–90°):
d/Å  2θ (°)  I_rel
2.426  37.05  1000
3.530  25.23  386
2.215  40.74  340
1.846  49.37  264
2.232  40.41  240
3.752  23.71  199
4.992  17.77  192
1.560  59.21  191
1.693  54.17  191
1.930  47.10  178

***

Entry 5:
Calculated powder diffraction line list of MgCu6Si for Cu Kα, 1.54184 Å, from the GGA-PBE geometry in Alexandria.
Lines closer than 0.1° are merged.

Atomic structure:
a = 5.0294 Å, b = 5.0294 Å, c = 17.9815 Å
α = 90.00°, β = 90.00°, γ = 120.00°
Space group R-3m (No. 166, hexagonal axes)
Symmetry-distinct sites (fractional):
Mg (0.0000, 0.0000, 0.0000) (multiplicity 3)
Cu (0.0078, 0.5039, 0.9320) (multiplicity 18)
Si (0.0000, 0.0000, 0.5000) (multiplicity 3)

Main lines, most intense first (2θ = 10–90°):
d/Å  2θ (°)  I_rel
2.162  41.78  1000
2.117  42.72  708
4.233  20.99  677
1.661  55.30  533
2.997  29.81  525
5.994  14.78  420
1.998  45.40  389
1.564  59.06  330
1.926  47.18  283
1.257  75.63  236

***

Entry 6:
Calculated powder diffraction line list of ThMg2CuSi2 for Cu Kα, 1.54184 Å, from the GGA-PBE geometry in Alexandria.
Lines closer than 0.1° are merged.

Atomic structure:
a = 5.159 Å, b = 5.159 Å, c = 10.321 Å
α = 90.00°, β = 90.00°, γ = 90.00°
Space group I4/mmm (No. 139)
Symmetry-distinct sites (fractional):
Th (0.000, 0.000, 0.000) (multiplicity 2)
Mg (0.000, 0.500, 0.250) (multiplicity 4)
Cu (0.000, 0.000, 0.500) (multiplicity 2)
Si (0.000, 0.000, 0.286) (multiplicity 4)

Main lines, most intense first (2θ = 10–90°):
d/Å  2θ (°)  I_rel
2.979  30.00  1000
2.580  34.78  929
3.648  24.40  882
4.614  19.24  646
1.824  50.00  636
1.556  59.42  481
2.862  31.25  379
5.160  17.18  362
2.106  42.94  340
1.916  47.45  284

***

Entry 7:
Calculated powder diffraction line list of TmMgCuSi for Cu Kα, 1.54184 Å, from the GGA-PBE geometry in Alexandria.
Lines closer than 0.1° are merged.

Atomic structure:
a = 6.638 Å, b = 6.638 Å, c = 6.638 Å
α = 90.00°, β = 90.00°, γ = 90.00°
Space group F-43m (No. 216)
Symmetry-distinct sites (fractional):
Tm (0.000, 0.000, 0.000) (multiplicity 4)
Mg (0.000, 0.000, 0.500) (multiplicity 4)
Cu (0.250, 0.250, 0.750) (multiplicity 4)
Si (0.250, 0.250, 0.250) (multiplicity 4)

Main lines, most intense first (2θ = 10–90°):
d/Å  2θ (°)  I_rel
2.347  38.35  1000
3.833  23.21  619
1.355  69.35  338
2.001  45.31  324
1.660  55.36  169
1.523  60.82  136
3.319  26.86  134
1.173  82.14  106
1.122  86.80  105
1.278  74.23  101

***

Entry 8:
Calculated powder diffraction line list of SmMgCu4 for Cu Kα, 1.54184 Å, from the GGA-PBE geometry in Alexandria.
Lines closer than 0.1° are merged.

Atomic structure:
a = 8.850 Å, b = 5.169 Å, c = 5.162 Å
α = 90.00°, β = 124.83°, γ = 90.00°
Space group Cm (No. 8)
Symmetry-distinct sites (fractional):
Sm (0.000, 0.000, 0.000) (multiplicity 2)
Mg (0.250, 0.000, 0.748) (multiplicity 2)
Cu (0.122, 0.500, 0.376) (multiplicity 2)
Cu (0.122, 0.500, 0.869) (multiplicity 2)
Cu (0.376, 0.247, 0.377) (multiplicity 4)

Main lines, most intense first (2θ = 10–90°):
d/Å  2θ (°)  I_rel
2.207  40.89  1000
2.192  41.17  779
2.106  42.95  418
2.198  41.06  394
2.588  34.67  383
3.652  24.37  341
2.562  35.02  248
1.404  66.61  223
2.119  42.68  210
4.212  21.09  203

***

Entry 9:
Calculated powder diffraction line list of SmMg3Cu for Cu Kα, 1.54184 Å, from the GGA-PBE geometry in Alexandria.
Lines closer than 0.1° are merged.

Atomic structure:
a = 4.669 Å, b = 4.782 Å, c = 10.656 Å
α = 90.00°, β = 90.00°, γ = 90.00°
Space group Amm2 (No. 38)
Symmetry-distinct sites (fractional):
Sm (0.000, 0.000, 0.000) (multiplicity 2)
Mg (0.000, 0.000, 0.705) (multiplicity 2)
Mg (0.500, 0.000, 0.227) (multiplicity 2)
Mg (0.500, 0.000, 0.508) (multiplicity 2)
Cu (0.000, 0.000, 0.348) (multiplicity 2)

Main lines, most intense first (2θ = 10–90°):
d/Å  2θ (°)  I_rel
2.433  36.94  1000
4.669  19.01  635
3.188  27.99  413
2.851  31.37  397
5.328  16.64  292
4.363  20.36  275
2.391  37.62  267
2.334  38.57  249
3.511  25.37  247
1.806  50.53  206

***

Entry 10:
Calculated powder diffraction line list of Sm3Mg2Cu3 for Cu Kα, 1.54184 Å, from the GGA-PBE geometry in Alexandria.
Lines closer than 0.1° are merged.

Atomic structure:
a = 3.433 Å, b = 5.126 Å, c = 20.427 Å
α = 90.00°, β = 90.00°, γ = 90.00°
Space group Immm (No. 71)
Symmetry-distinct sites (fractional):
Sm (0.000, 0.000, 0.000) (multiplicity 2)
Sm (0.000, 0.500, 0.122) (multiplicity 4)
Mg (0.000, 0.000, 0.229) (multiplicity 4)
Cu (0.000, 0.000, 0.500) (multiplicity 2)
Cu (0.000, 0.500, 0.378) (multiplicity 4)

Main lines, most intense first (2θ = 10–90°):
d/Å  2θ (°)  I_rel
2.490  36.07  1000
2.563  35.01  268
2.553  35.15  243
1.465  63.49  179
1.809  50.45  171
1.425  65.48  160
1.462  63.66  152
3.195  27.93  108
4.095  21.70  97
1.245  76.51  96

***

Entry 11:
Calculated powder diffraction line list of SmMg4Cu2 for Cu Kα, 1.54184 Å, from the GGA-PBE geometry in Alexandria.
Lines closer than 0.1° are merged.

Atomic structure:
a = 8.351 Å, b = 8.351 Å, c = 4.172 Å
α = 90.00°, β = 90.00°, γ = 90.00°
Space group P4_2/mnm (No. 136)
Symmetry-distinct sites (fractional):
Sm (0.000, 0.000, 0.000) (multiplicity 2)
Mg (0.088, 0.333, 0.500) (multiplicity 8)
Cu (0.207, 0.793, 0.500) (multiplicity 4)

Main lines, most intense first (2θ = 10–90°):
d/Å  2θ (°)  I_rel
2.783  32.17  1000
5.905  15.00  433
2.953  30.27  331
1.454  64.06  267
3.733  23.84  267
2.641  33.94  266
2.316  38.89  266
2.087  43.36  239
2.232  40.42  214
1.551  59.62  207

***

Entry 12:
Calculated powder diffraction line list of Sm4Mg5Cu2 for Cu Kα, 1.54184 Å, from the GGA-PBE geometry in Alexandria.
Lines closer than 0.1° are merged.

Atomic structure:
a = 8.015 Å, b = 3.543 Å, c = 10.004 Å
α = 90.00°, β = 93.15°, γ = 90.00°
Space group P2/m (No. 10)
Symmetry-distinct sites (fractional):
Sm (0.159, 0.000, 0.359) (multiplicity 2)
Sm (0.230, 0.000, 0.950) (multiplicity 2)
Mg (0.191, 0.500, 0.659) (multiplicity 2)
Mg (0.444, 0.500, 0.190) (multiplicity 2)
Mg (0.500, 0.500, 0.500) (multiplicity 1)
Cu (0.057, 0.500, 0.131) (multiplicity 2)

Main lines, most intense first (2θ = 10–90°):
d/Å  2θ (°)  I_rel
8.003  11.06  1000
2.425  37.07  729
2.652  33.79  581
2.746  32.61  576
2.691  33.30  573
2.379  37.82  563
2.541  35.33  376
2.494  36.01  375
4.345  20.44  362
4.136  21.48  282